MgV6O11F: theoretical X-ray powder pattern (Cu Kα X-rays), based on the GGA+U geometry in Alexandria.

Structure:
Unit cell a=5.128 b=5.146 c=8.670 alpha=88.65 beta=89.02 gamma=78.49
Element x y z (fractional)
Mg  0.000  0.000  0.000
V  0.115  0.500  0.177
V  0.120  0.497  0.813
V  0.520  0.909  0.647
V  0.530  0.903  0.999
V  0.553  0.942  0.329
V  0.958  0.343  0.500
O  0.224  0.236  0.334
O  0.234  0.251  0.000
O  0.236  0.234  0.653
O  0.317  0.749  0.167
O  0.326  0.780  0.834
O  0.379  0.765  0.505
O  0.701  0.084  0.152
O  0.736  0.112  0.502
O  0.838  0.604  0.663
O  0.847  0.607  0.334
O  0.879  0.647  0.002
F  0.725  0.083  0.829

The 10 most intense peaks (5° ≤ 2θ ≤ 70°), sorted by position:
- 2θ 22.4, d = 3.977 Å, I = 100, (1 1 0)
- 2θ 27.4, d = 3.250 Å, I = 100, (1 -1 0)
- 2θ 35.5, d = 2.529 Å, I = 20, (0 1 3)
- 2θ 35.6, d = 2.519 Å, I = 22, (1 0 3)
- 2θ 36.1, d = 2.487 Å, I = 36, (0 1 -3)
- 2θ 39.0, d = 2.309 Å, I = 16, (1 1 -3)
- 2θ 49.3, d = 1.849 Å, I = 16, (2 1 -3)
- 2θ 54.1, d = 1.694 Å, I = 15, (2 -1 3)
- 2θ 56.6, d = 1.625 Å, I = 16, (2 -2 0)
- 2θ 64.5, d = 1.444 Å, I = 16, (0 0 6)